Diffraction record for Rb4CoO4. The powder XRD pattern is simulated, not measured: it uses a structure optimized by DFT (GGA+U) and a wavelength of 1.5418 Å.
No peak broadening, texture or thermal motion is included.

Structural model:
Cell: 7.856 7.856 6.168 Å, 90.00 90.00 90.00°
Space group P4_2/n (No. 86, origin choice 2)
One atom of each set of equivalent atoms:
Rb  0.031  0.751  0.113 [8 per cell]
Co  0.250  0.250  0.250 [2 per cell]
O  0.060  0.249  0.421 [8 per cell]

Peak list (10 most intense, 2θ = 10–80°, in order of falling intensity)
3.053 Å, 2θ 29.3, I = 100
3.313 Å, 2θ 26.9, I = 74
2.871 Å, 2θ 31.2, I = 63
2.778 Å, 2θ 32.2, I = 55
1.780 Å, 2θ 51.3, I = 37
2.318 Å, 2θ 38.9, I = 33
1.964 Å, 2θ 46.2, I = 32
2.304 Å, 2θ 39.1, I = 24
1.690 Å, 2θ 54.3, I = 20
1.420 Å, 2θ 65.8, I = 19